For Rb2ZnCdHg6, a structure optimized by DFT (GGA-PBE) gives the computed powder diffraction line list in this record (a wavelength of 1.5418 Å).
Kinematic intensities with the Lorentz-polarization factor, no thermal factor.

Cell and atoms:
Lattice parameters (Å, degrees): 7.8956 7.8956 7.8789 119.81 119.81 90.16
Positions (direct):
Rb  0.2500  0.7500  0.0000
Rb  0.7500  0.2500  0.0000
Zn  0.0000  0.0000  0.5000
Cd  0.5000  0.5000  0.5000
Hg  0.2423  0.2423  0.5004
Hg  0.2418  0.2418  0.9837
Hg  0.2420  0.7580  0.5000
Hg  0.7580  0.2420  0.5000
Hg  0.7582  0.7582  0.0163
Hg  0.7577  0.7577  0.4996

Top 12 peaks for 10° ≤ 2θ ≤ 80°, by angle:
2θ 15.86, intensity 34
2θ 27.66, intensity 100
2θ 32.01, intensity 60
2θ 32.11, intensity 30
2θ 35.91, intensity 12
2θ 45.88, intensity 33
2θ 45.98, intensity 22
2θ 54.37, intensity 15
2θ 54.48, intensity 23
2θ 57.01, intensity 11
2θ 57.21, intensity 11
2θ 76.14, intensity 17

---

For Cd8HgRh2, a structure optimized by DFT (GGA-PBE) gives the computed powder diffraction line list in this record (a wavelength of 1.5418 Å).
Kinematic intensities with the Lorentz-polarization factor, no thermal factor.

Cell and atoms:
Lattice parameters (Å, degrees): 7.1446 7.1446 4.6195 90.00 90.00 105.13
Positions (direct):
Cd  0.1633  0.1633  0.0000
Cd  0.1866  0.4626  0.5000
Cd  0.2420  0.7580  0.0000
Cd  0.4626  0.1866  0.5000
Cd  0.5374  0.8134  0.5000
Cd  0.7580  0.2420  0.0000
Cd  0.8134  0.5374  0.5000
Cd  0.8367  0.8367  0.0000
Hg  0.5000  0.5000  0.0000
Rh  0.1176  0.8824  0.5000
Rh  0.8824  0.1176  0.5000

Top 12 peaks for 10° ≤ 2θ ≤ 80°, by angle:
2θ 24.86, intensity 11
2θ 28.20, intensity 18
2θ 37.20, intensity 100
2θ 37.51, intensity 87
2θ 38.99, intensity 46
2θ 39.19, intensity 49
2θ 51.14, intensity 12
2θ 56.47, intensity 33
2θ 69.48, intensity 35
2θ 69.66, intensity 14
2θ 76.74, intensity 22
2θ 77.88, intensity 12